Diffraction record for Ta5Mo2. The powder diffraction line list is theoretical, not measured: it uses a structure optimized by DFT (GGA-PBE) and Cu Kα X-rays.

Largest 10 diffraction maxima, low angle first, 15° ≤ 2θ ≤ 90°:
index, 2θ (°), Rel. int.
2 0 -3, 38.70, 51
3 1 -1, 38.90, 100
4 0 1, 39.00, 49
1 1 2, 39.14, 99
6 0 -2, 55.75, 17
0 2 0, 56.61, 17
5 1 -4, 70.02, 17
1 1 -5, 70.46, 34
2 2 -3, 70.68, 17
4 2 1, 70.89, 33

Structure:
Lattice parameters (Å, degrees): 10.393 3.252 7.326 90.00 98.91 90.00
Space group C2/m (No. 12)
Unique sites:
Ta (0.000, 0.000, 0.000) [2 per cell]
Ta (0.137, 0.000, 0.432) [4 per cell]
Ta (0.223, 0.500, 0.151) [4 per cell]
Mo (0.070, 0.500, 0.718) [4 per cell]

***

Diffraction record for Te2Ir. The powder diffraction line list is theoretical, not measured: it uses a structure optimized by DFT (GGA-PBE) and Cu Kα X-rays.

Largest 10 diffraction maxima, low angle first, 15° ≤ 2θ ≤ 90°:
index, 2θ (°), Rel. int.
2 0 -1, 18.56, 37
2 0 1, 18.66, 27
1 1 1, 27.80, 100
3 1 -1, 30.50, 26
3 1 1, 30.60, 100
6 0 -1, 31.23, 65
3 1 -2, 42.24, 73
3 1 2, 42.39, 74
0 2 0, 44.56, 54
9 1 0, 46.26, 82

Structure:
Lattice parameters (Å, degrees): 20.167 4.066 5.411 90.00 90.39 90.00
Space group C2/m (No. 12)
Unique sites:
Te (0.044, 0.000, 0.223) [4 per cell]
Te (0.121, 0.500, 0.713) [4 per cell]
Te (0.219, 0.500, 0.238) [4 per cell]
Ir (0.000, 0.500, 0.500) [2 per cell]
Ir (0.159, 0.000, 0.998) [4 per cell]

***

Question: Which formula does entry 1 have?
Answer: Ta5Mo2

***

Please write out number 2 again, unchanged.
Diffraction record for Te2Ir. The powder diffraction line list is theoretical, not measured: it uses a structure optimized by DFT (GGA-PBE) and Cu Kα X-rays.

Largest 10 diffraction maxima, low angle first, 15° ≤ 2θ ≤ 90°:
index, 2θ (°), Rel. int.
2 0 -1, 18.56, 37
2 0 1, 18.66, 27
1 1 1, 27.80, 100
3 1 -1, 30.50, 26
3 1 1, 30.60, 100
6 0 -1, 31.23, 65
3 1 -2, 42.24, 73
3 1 2, 42.39, 74
0 2 0, 44.56, 54
9 1 0, 46.26, 82

Structure:
Lattice parameters (Å, degrees): 20.167 4.066 5.411 90.00 90.39 90.00
Space group C2/m (No. 12)
Unique sites:
Te (0.044, 0.000, 0.223) [4 per cell]
Te (0.121, 0.500, 0.713) [4 per cell]
Te (0.219, 0.500, 0.238) [4 per cell]
Ir (0.000, 0.500, 0.500) [2 per cell]
Ir (0.159, 0.000, 0.998) [4 per cell]